1.
Structure and theoretical powder diffractogram of NdMgAlIn (a structure optimized by DFT (PBE); Cu Ka).
Neutral-atom scattering factors, no anomalous dispersion.

```
NdMgAlIn
1.0
4.527 0.000 0.000
0.000 4.547 0.000
0.000 0.000 4.672
Nd Mg Al In
1 1 1 1
Cartesian
0.000 0.000 0.000
0.000 2.274 2.336
2.263 2.274 0.000
2.263 0.000 2.336
```

Principal peaks in the range 5 to 70 degrees two-theta, by intensity:
d = 2.645 Å, intensity 100.0, hkl 1 1 1; d = 4.547 Å, intensity 43.5, hkl 0 1 0; d = 3.251 Å, intensity 38.5, hkl 1 0 1; d = 2.336 Å, intensity 17.5, hkl 0 0 2; d = 2.274 Å, intensity 16.2, hkl 0 2 0; d = 2.263 Å, intensity 16.0, hkl 2 0 0; d = 1.863 Å, intensity 15.6, hkl 1 2 1; d = 1.401 Å, intensity 13.5, hkl 1 1 3; d = 1.374 Å, intensity 12.6, hkl 1 3 1; d = 1.369 Å, intensity 12.5, hkl 3 1 1

***

2.
Structure and theoretical powder diffractogram of Tl2Ga2Au3 (a structure optimized by DFT (PBE); Cu Ka).
Neutral-atom scattering factors, no anomalous dispersion.

```
Tl2Ga2Au3
1.0
4.108 0.000 0.000
1.895 6.110 0.000
1.921 0.454 6.321
Tl Ga Au
2 2 3
Cartesian
1.956 1.462 2.670
5.968 5.102 3.651
1.910 4.366 0.156
6.014 2.198 6.166
3.945 2.955 4.599
2.054 0.000 0.000
3.979 3.609 1.723
```

Principal peaks in the range 5 to 70 degrees two-theta, by intensity:
d = 2.892 Å, intensity 100.0, hkl 0 1 2; d = 2.810 Å, intensity 96.7, hkl 1 -1 1; d = 2.053 Å, intensity 50.0, hkl 2 1 1; d = 2.761 Å, intensity 48.7, hkl 1 2 0; d = 2.671 Å, intensity 45.1, hkl 0 2 -1; d = 2.112 Å, intensity 44.8, hkl 1 1 -2; d = 1.976 Å, intensity 43.6, hkl 0 3 1; d = 2.480 Å, intensity 34.8, hkl -1 1 1; d = 2.404 Å, intensity 32.0, hkl 1 2 2; d = 3.697 Å, intensity 30.0, hkl 1 1 1